TlAgPO: calculated X-ray powder pattern (Cu Kα), based on a structure optimized by DFT (GGA-PBE).

Main lines, in order of rising 2θ (15 to 90 degrees two-theta):
22.0°, rel. 13, (0 1 1); 26.3°, rel. 23, (0 2 0); 30.1°, rel. 100, (1 1 1); 33.5°, rel. 10, (1 2 0); 35.6°, rel. 26, (0 0 2); 38.1°, rel. 21, (1 2 1); 41.5°, rel. 18, (2 0 0); 44.8°, rel. 11, (0 2 2); 48.8°, rel. 17, (1 3 1); 55.8°, rel. 14, (2 0 2); 60.6°, rel. 14, (1 1 3); 68.7°, rel. 10, (3 1 1)

Cell and atoms:
abc: 4.3547 6.7858 5.0463
angles: 90.00 90.00 90.00
Fractional positions:
Tl: 0.0000 0.2204 0.0000
Tl: 0.0000 0.7796 0.5000
Ag: 0.5000 0.1741 0.5191
Ag: 0.5000 0.8259 0.0191
P: 0.5000 0.4497 0.9723
P: 0.5000 0.5503 0.4723
O: 0.0000 0.1097 0.4412
O: 0.0000 0.8903 0.9412